Calculated X-ray diffraction stick pattern of Ba2ZnSnS5 for λ = 1.5418 Å (Cu Kα), from DFT lattice parameters and positions (PBE).
No peak broadening, texture or thermal motion is included.

Structure:
```
data_Ba2ZnSnS5
_chemical_formula_sum 'Ba8 Zn4 Sn4 S20'
_cell_length_a 4.0656
_cell_length_b 18.4016
_cell_length_c 12.7026
_cell_angle_alpha 90.00
_cell_angle_beta 90.00
_cell_angle_gamma 90.00
_symmetry_space_group_name_H-M 'C m c 21'
_symmetry_Int_Tables_number 36
_symmetry_space_group_name_Hall 'C 2c -2'
loop_
_atom_site_label
_atom_site_fract_x
_atom_site_fract_y
_atom_site_fract_z
Ba1 0.0000 0.1138 0.0000
Ba2 0.0000 0.1252 0.6146
Zn1 0.0000 0.4328 0.7426
Sn1 0.0000 0.2138 0.3273
S1 0.0000 0.0740 0.3415
S2 0.0000 0.2838 0.9635
S3 0.0000 0.3027 0.6860
S4 0.0000 0.3488 0.3097
S5 0.0000 0.4984 0.5902
```

Principal peaks in the range 10° ≤ 2θ ≤ 80°, in order of rising 2θ:
- 2θ 23.12, I 53
- 2θ 26.30, I 25
- 2θ 26.48, I 26
- 2θ 27.24, I 26
- 2θ 29.96, I 49
- 2θ 30.88, I 100
- 2θ 35.82, I 49
- 2θ 44.57, I 40

---

Calculated X-ray diffraction stick pattern of BaZnSnS4 for λ = 1.5418 Å (Cu Kα), from DFT lattice parameters and positions (PBE).
No peak broadening, texture or thermal motion is included.

Structure:
```
data_BaZnSnS4
_chemical_formula_sum 'Ba32 Zn32 Sn32 S128'
_cell_length_a 21.7086
_cell_length_b 22.3223
_cell_length_c 12.8583
_cell_angle_alpha 90.00
_cell_angle_beta 90.00
_cell_angle_gamma 90.00
_symmetry_space_group_name_H-M 'F d d 2'
_symmetry_Int_Tables_number 43
_symmetry_space_group_name_Hall 'F 2 -2d'
loop_
_atom_site_label
_atom_site_fract_x
_atom_site_fract_y
_atom_site_fract_z
Ba1 0.0000 0.0000 0.0000
Ba2 0.0000 0.0000 0.4977
Ba3 0.0007 0.2484 0.9991
Zn1 0.0729 0.1253 0.2125
Zn2 0.1103 0.1247 0.7468
Sn1 0.0706 0.3749 0.2880
Sn2 0.1120 0.3756 0.7494
S1 0.0265 0.3759 0.6310
S2 0.0314 0.1242 0.8679
S3 0.0473 0.1260 0.3872
S4 0.0496 0.3742 0.1046
S5 0.1241 0.2059 0.6258
S6 0.1251 0.0441 0.1261
S7 0.1248 0.0443 0.6236
S8 0.1252 0.2061 0.1243
```

Principal peaks in the range 10° ≤ 2θ ≤ 80°, in order of rising 2θ:
- 2θ 15.88, I 15
- 2θ 22.63, I 100
- 2θ 22.86, I 37
- 2θ 28.30, I 47
- 2θ 32.07, I 35
- 2θ 36.25, I 71
- 2θ 42.92, I 16
- 2θ 43.30, I 31

---

Calculated X-ray diffraction stick pattern of BaSr2US6 for λ = 1.5418 Å (Cu Kα), from DFT lattice parameters and positions (PBE).
No peak broadening, texture or thermal motion is included.

Structure:
```
data_BaSr2US6
_chemical_formula_sum 'Ba2 Sr4 U2 S12'
_cell_length_a 7.1433
_cell_length_b 7.8220
_cell_length_c 12.3927
_cell_angle_alpha 90.00
_cell_angle_beta 123.16
_cell_angle_gamma 90.00
_symmetry_space_group_name_H-M 'P 1 21/c 1'
_symmetry_Int_Tables_number 14
_symmetry_space_group_name_Hall '-P 2ybc'
loop_
_atom_site_label
_atom_site_fract_x
_atom_site_fract_y
_atom_site_fract_z
Ba1 0.0000 0.0000 0.0000
Sr1 0.2062 0.0677 0.7283
U1 0.5000 0.0000 0.5000
S1 0.1604 0.1654 0.4556
S2 0.2451 0.7309 0.4018
S3 0.4163 0.0850 0.2777
```

Principal peaks in the range 10° ≤ 2θ ≤ 80°, in order of rising 2θ:
- 2θ 14.18, I 36
- 2θ 16.81, I 51
- 2θ 22.74, I 42
- 2θ 23.75, I 100
- 2θ 24.38, I 96
- 2θ 24.95, I 38
- 2θ 34.00, I 50
- 2θ 42.84, I 32

---

Calculated X-ray diffraction stick pattern of Ba2TaVS6 for λ = 1.5418 Å (Cu Kα), from DFT lattice parameters and positions (PBE).
No peak broadening, texture or thermal motion is included.

Structure:
```
data_Ba2TaVS6
_chemical_formula_sum 'Ba12 Ta6 V6 S36'
_cell_length_a 6.8593
_cell_length_b 6.8593
_cell_length_c 34.1231
_cell_angle_alpha 90.00
_cell_angle_beta 90.00
_cell_angle_gamma 120.00
_symmetry_space_group_name_H-M 'R -3 m'
_symmetry_Int_Tables_number 166
_symmetry_space_group_name_Hall '-R 3 2"'
loop_
_atom_site_label
_atom_site_fract_x
_atom_site_fract_y
_atom_site_fract_z
Ba1 0.0000 0.0000 0.1231
Ba2 0.0000 0.0000 0.2922
Ta1 0.0000 0.0000 0.0000
Ta2 0.0000 0.0000 0.5000
V1 0.0000 0.0000 0.4136
S1 0.0010 0.5005 0.2922
S2 0.0045 0.5022 0.1232
```

Principal peaks in the range 10° ≤ 2θ ≤ 80°, in order of rising 2θ:
- 2θ 15.80, I 28
- 2θ 23.61, I 28
- 2θ 25.98, I 100
- 2θ 30.20, I 37
- 2θ 32.89, I 38
- 2θ 35.39, I 42
- 2θ 40.25, I 34
- 2θ 53.43, I 35

---

Calculated X-ray diffraction stick pattern of BaTcS2 for λ = 1.5418 Å (Cu Kα), from DFT lattice parameters and positions (PBE).
No peak broadening, texture or thermal motion is included.

Structure:
```
data_BaTcS2
_chemical_formula_sum 'Ba2 Tc2 S4'
_cell_length_a 4.4128
_cell_length_b 6.4286
_cell_length_c 8.2660
_cell_angle_alpha 102.64
_cell_angle_beta 103.63
_cell_angle_gamma 106.90
_symmetry_space_group_name_H-M 'P -1'
_symmetry_Int_Tables_number 2
_symmetry_space_group_name_Hall '-P 1'
loop_
_atom_site_label
_atom_site_fract_x
_atom_site_fract_y
_atom_site_fract_z
Ba1 0.0036 0.1557 0.3188
Tc1 0.2654 0.5591 0.0811
S1 0.3035 0.7205 0.3697
S2 0.4072 0.2351 0.0542
```

Principal peaks in the range 10° ≤ 2θ ≤ 80°, in order of rising 2θ:
- 2θ 21.80, I 100
- 2θ 23.55, I 64
- 2θ 23.68, I 76
- 2θ 28.31, I 47
- 2θ 29.12, I 86
- 2θ 31.18, I 68
- 2θ 35.21, I 85
- 2θ 40.29, I 46

---

Calculated X-ray diffraction stick pattern of Ba2Te2S5 for λ = 1.5418 Å (Cu Kα), from DFT lattice parameters and positions (PBE).
No peak broadening, texture or thermal motion is included.

Structure:
```
data_Ba2Te2S5
_chemical_formula_sum 'Ba2 Te2 S5'
_cell_length_a 5.8749
_cell_length_b 6.4567
_cell_length_c 8.3207
_cell_angle_alpha 70.39
_cell_angle_beta 77.85
_cell_angle_gamma 86.35
_symmetry_space_group_name_H-M 'P -1'
_symmetry_Int_Tables_number 2
_symmetry_space_group_name_Hall '-P 1'
loop_
_atom_site_label
_atom_site_fract_x
_atom_site_fract_y
_atom_site_fract_z
Ba1 0.1721 0.3462 0.2755
Te1 0.2856 0.1085 0.7782
S1 0.0814 0.8319 0.3147
S2 0.3061 0.4355 0.8565
S3 0.5000 0.0000 0.5000
```

Principal peaks in the range 10° ≤ 2θ ≤ 80°, in order of rising 2θ:
- 2θ 21.19, I 30
- 2θ 21.36, I 89
- 2θ 23.17, I 100
- 2θ 23.34, I 29
- 2θ 25.02, I 83
- 2θ 27.76, I 68
- 2θ 30.98, I 46
- 2θ 37.73, I 44

---

Calculated X-ray diffraction stick pattern of Ba4Te3S for λ = 1.5418 Å (Cu Kα), from DFT lattice parameters and positions (PBE).
No peak broadening, texture or thermal motion is included.

Structure:
```
data_Ba4Te3S
_chemical_formula_sum 'Ba8 Te6 S2'
_cell_length_a 8.5070
_cell_length_b 9.8230
_cell_length_c 8.4770
_cell_angle_alpha 90.00
_cell_angle_beta 109.52
_cell_angle_gamma 90.00
_symmetry_space_group_name_H-M 'P 1 2/c 1'
_symmetry_Int_Tables_number 13
_symmetry_space_group_name_Hall '-P 2yc'
loop_
_atom_site_label
_atom_site_fract_x
_atom_site_fract_y
_atom_site_fract_z
Ba1 0.2320 0.1155 0.0038
Ba2 0.2444 0.3651 0.4893
Te1 0.0000 0.3733 0.7500
Te2 0.5000 0.1237 0.7500
Te3 0.5000 0.3737 0.2500
S1 0.0000 0.1209 0.2500
```

Principal peaks in the range 10° ≤ 2θ ≤ 80°, in order of rising 2θ:
- 2θ 25.68, I 100
- 2θ 36.61, I 51
- 2θ 36.69, I 26
- 2θ 45.24, I 20
- 2θ 52.79, I 13
- 2θ 59.54, I 17
- 2θ 59.67, I 18
- 2θ 65.92, I 19

---

Calculated X-ray diffraction stick pattern of BaYTe2S6 for λ = 1.5418 Å (Cu Kα), from DFT lattice parameters and positions (PBE).
No peak broadening, texture or thermal motion is included.

Structure:
```
data_BaYTe2S6
_chemical_formula_sum 'Ba1 Y1 Te2 S6'
_cell_length_a 6.7406
_cell_length_b 7.0455
_cell_length_c 7.8141
_cell_angle_alpha 115.64
_cell_angle_beta 91.35
_cell_angle_gamma 116.81
_symmetry_space_group_name_H-M 'P 1'
_symmetry_Int_Tables_number 1
_symmetry_space_group_name_Hall 'P 1'
loop_
_atom_site_label
_atom_site_fract_x
_atom_site_fract_y
_atom_site_fract_z
Ba1 0.0000 0.0000 0.0000
Y1 0.5071 0.0407 0.5551
Te1 0.2209 0.4331 0.6438
Te2 0.6971 0.4418 0.1876
S1 0.0959 0.9596 0.3926
S2 0.4016 0.9176 0.8441
S3 0.4306 0.5559 0.3385
S4 0.5516 0.4763 0.8220
S5 0.7864 0.2542 0.3514
S6 0.9435 0.3171 0.8273
```

Principal peaks in the range 10° ≤ 2θ ≤ 80°, in order of rising 2θ:
- 2θ 22.78, I 100
- 2θ 23.00, I 61
- 2θ 24.68, I 38
- 2θ 25.39, I 35
- 2θ 26.46, I 41
- 2θ 32.82, I 31
- 2θ 35.78, I 40
- 2θ 43.17, I 35

---

Calculated X-ray diffraction stick pattern of BaThS3 for λ = 1.5418 Å (Cu Kα), from DFT lattice parameters and positions (PBE).
No peak broadening, texture or thermal motion is included.

Structure:
```
data_BaThS3
_chemical_formula_sum 'Ba4 Th4 S12'
_cell_length_a 7.7127
_cell_length_b 4.3394
_cell_length_c 16.6436
_cell_angle_alpha 90.00
_cell_angle_beta 90.00
_cell_angle_gamma 90.00
_symmetry_space_group_name_H-M 'P n m a'
_symmetry_Int_Tables_number 62
_symmetry_space_group_name_Hall '-P 2ac 2n'
loop_
_atom_site_label
_atom_site_fract_x
_atom_site_fract_y
_atom_site_fract_z
Ba1 0.1389 0.2500 0.2014
Th1 0.2367 0.7500 0.4568
S1 0.0151 0.2500 0.4098
S2 0.1289 0.7500 0.0480
S3 0.1646 0.2500 0.7984
```

Principal peaks in the range 10° ≤ 2θ ≤ 80°, in order of rising 2θ:
- 2θ 10.63, I 28
- 2θ 23.06, I 28
- 2θ 24.13, I 100
- 2θ 24.31, I 56
- 2θ 26.07, I 37
- 2θ 32.88, I 32
- 2θ 35.08, I 30
- 2θ 41.44, I 25

---

Calculated X-ray diffraction stick pattern of Ba4ThS6 for λ = 1.5418 Å (Cu Kα), from DFT lattice parameters and positions (PBE).
No peak broadening, texture or thermal motion is included.

Structure:
```
data_Ba4ThS6
_chemical_formula_sum 'Ba24 Th6 S36'
_cell_length_a 12.4576
_cell_length_b 12.4576
_cell_length_c 15.3788
_cell_angle_alpha 90.00
_cell_angle_beta 90.00
_cell_angle_gamma 120.00
_symmetry_space_group_name_H-M 'R -3 c'
_symmetry_Int_Tables_number 167
_symmetry_space_group_name_Hall '-R 3 2"c'
loop_
_atom_site_label
_atom_site_fract_x
_atom_site_fract_y
_atom_site_fract_z
Ba1 0.0000 0.0000 0.2500
Ba2 0.0000 0.3697 0.2500
Th1 0.0000 0.0000 0.0000
S1 0.0268 0.1932 0.3944
```

Principal peaks in the range 10° ≤ 2θ ≤ 80°, in order of rising 2θ:
- 2θ 14.18, I 54
- 2θ 22.47, I 46
- 2θ 24.76, I 100
- 2θ 28.51, I 40
- 2θ 31.99, I 53
- 2θ 33.67, I 42
- 2θ 43.49, I 37
- 2θ 65.22, I 23

---

Calculated X-ray diffraction stick pattern of Ba2Ti3S8 for λ = 1.5418 Å (Cu Kα), from DFT lattice parameters and positions (PBE).
No peak broadening, texture or thermal motion is included.

Structure:
```
data_Ba2Ti3S8
_chemical_formula_sum 'Ba4 Ti6 S16'
_cell_length_a 14.8529
_cell_length_b 7.2870
_cell_length_c 6.3708
_cell_angle_alpha 90.00
_cell_angle_beta 107.49
_cell_angle_gamma 90.00
_symmetry_space_group_name_H-M 'C 1 2/m 1'
_symmetry_Int_Tables_number 12
_symmetry_space_group_name_Hall '-C 2y'
loop_
_atom_site_label
_atom_site_fract_x
_atom_site_fract_y
_atom_site_fract_z
Ba1 0.2403 0.0000 0.1818
Ti1 0.0000 0.2385 0.5000
Ti2 0.0000 0.5000 0.0000
S1 0.0929 0.2665 0.8867
S2 0.0938 0.5000 0.3887
S3 0.1042 0.0000 0.4673
```

Principal peaks in the range 10° ≤ 2θ ≤ 80°, in order of rising 2θ:
- 2θ 18.59, I 39
- 2θ 21.38, I 100
- 2θ 23.51, I 90
- 2θ 27.53, I 61
- 2θ 33.02, I 34
- 2θ 35.24, I 63
- 2θ 35.48, I 42
- 2θ 49.70, I 49